Starting from a DFT-relaxed cell (PBE+U, Alexandria), the XRD peak list of Rb4BaV6O18 was simulated for Cu Kα (weighted mean of Kα1 and Kα2).
Peak positions follow from Bragg's law for the DFT cell and can differ from measured ones.

The 10 most intense peaks (2θ from 5° to 70°), most intense first:
two_theta, I/Imax
26.87, 100
26.34, 90
23.02, 85
29.61, 51
34.81, 41
11.45, 40
36.94, 28
41.37, 28
54.16, 27
21.98, 26

Structure:
```
Rb4BaV6O18
1.0
7.005 4.044 6.682
-7.005 4.044 6.682
0.000 -8.089 6.682
Rb Ba V O
8 2 12 36
direct
0.000 0.000 0.000 Rb
0.007 0.415 0.580 Rb
0.080 0.915 0.507 Rb
0.415 0.580 0.007 Rb
0.500 0.500 0.500 Rb
0.507 0.080 0.915 Rb
0.580 0.007 0.415 Rb
0.915 0.507 0.080 Rb
0.222 0.222 0.222 Ba
0.722 0.722 0.722 Ba
0.108 0.667 0.794 V
0.167 0.608 0.294 V
0.194 0.329 0.889 V
0.294 0.167 0.608 V
0.329 0.889 0.194 V
0.389 0.829 0.694 V
0.608 0.294 0.167 V
0.667 0.794 0.108 V
0.694 0.389 0.829 V
0.794 0.108 0.667 V
0.829 0.694 0.389 V
0.889 0.194 0.329 V
0.002 0.081 0.273 O
0.057 0.730 0.932 O
0.081 0.273 0.002 O
0.145 0.494 0.831 O
0.193 0.197 0.491 O
0.197 0.491 0.193 O
0.215 0.235 0.752 O
0.230 0.557 0.432 O
0.235 0.752 0.215 O
0.252 0.735 0.715 O
0.273 0.002 0.081 O
0.319 0.961 0.330 O
0.330 0.319 0.961 O
0.331 0.994 0.645 O
0.432 0.230 0.557 O
0.461 0.819 0.830 O
0.491 0.193 0.197 O
0.494 0.831 0.145 O
0.502 0.773 0.581 O
0.557 0.432 0.230 O
0.581 0.502 0.773 O
0.645 0.331 0.994 O
0.693 0.991 0.697 O
0.697 0.693 0.991 O
0.715 0.252 0.735 O
0.730 0.932 0.057 O
0.735 0.715 0.252 O
0.752 0.215 0.235 O
0.773 0.581 0.502 O
0.819 0.830 0.461 O
0.830 0.461 0.819 O
0.831 0.145 0.494 O
0.932 0.057 0.730 O
0.961 0.330 0.319 O
0.991 0.697 0.693 O
0.994 0.645 0.331 O
```